Computed X-ray powder pattern of K2AlAuCl6 for Cu Kα, 1.54184 Å, from DFT lattice parameters and positions (GGA-PBE).

Structure:
a = 7.1909 Å, b = 7.1909 Å, c = 7.1909 Å
α = 60.00°, β = 60.00°, γ = 60.00°
Positions (direct):
K: 0.2500 0.2500 0.2500
K: 0.7500 0.7500 0.7500
Al: 0.0000 0.0000 0.0000
Au: 0.5000 0.5000 0.5000
Cl: 0.2316 0.2316 0.7684
Cl: 0.2316 0.7684 0.2316
Cl: 0.2316 0.7684 0.7684
Cl: 0.7684 0.2316 0.2316
Cl: 0.7684 0.2316 0.7684
Cl: 0.7684 0.7684 0.2316

Principal peaks in the range 2θ = 10–90°, most intense first:
- 24.8 deg, 3.595 Å, intensity 100
- 17.4 deg, 5.085 Å, intensity 97
- 35.3 deg, 2.542 Å, intensity 93
- 29.1 deg, 3.066 Å, intensity 75
- 15.1 deg, 5.871 Å, intensity 70
- 50.8 deg, 1.798 Å, intensity 60
- 38.6 deg, 2.333 Å, intensity 50
- 39.6 deg, 2.274 Å, intensity 46
- 43.6 deg, 2.076 Å, intensity 43
- 69.1 deg, 1.359 Å, intensity 24

---

Computed X-ray powder pattern of MgAl2O2F8 for Cu Kα, 1.54184 Å, from DFT lattice parameters and positions (GGA-PBE).

Structure:
a = 7.2935 Å, b = 7.2462 Å, c = 5.1226 Å
α = 69.87°, β = 68.88°, γ = 41.26°
Positions (direct):
Mg: 0.0000 0.0000 0.0000
Al: 0.0000 0.5000 0.0000
Al: 0.5000 0.0000 0.5000
O: 0.3001 0.6999 0.3001
O: 0.6999 0.3001 0.6999
F: 0.0841 0.6955 0.9159
F: 0.2500 0.2500 0.2500
F: 0.2837 0.2837 0.7163
F: 0.3045 0.9159 0.6955
F: 0.6955 0.0841 0.3045
F: 0.7163 0.7163 0.2837
F: 0.7500 0.7500 0.7500
F: 0.9159 0.3045 0.0841

Principal peaks in the range 2θ = 10–90°, most intense first:
- 24.3 deg, 3.669 Å, intensity 100
- 28.7 deg, 3.109 Å, intensity 82
- 14.1 deg, 6.303 Å, intensity 69
- 28.3 deg, 3.152 Å, intensity 42
- 49.7 deg, 1.835 Å, intensity 40
- 50.4 deg, 1.811 Å, intensity 38
- 18.7 deg, 4.744 Å, intensity 33
- 58.4 deg, 1.581 Å, intensity 29
- 51.1 deg, 1.787 Å, intensity 25
- 39.6 deg, 2.276 Å, intensity 24

---

Computed X-ray powder pattern of CaIn4Ir for Cu Kα, 1.54184 Å, from DFT lattice parameters and positions (GGA-PBE).

Structure:
a = 8.7901 Å, b = 4.2970 Å, c = 7.5945 Å
α = 90.00°, β = 90.00°, γ = 90.00°
Positions (direct):
Ca: 0.2500 0.0000 0.0982
Ca: 0.7500 0.0000 0.9018
In: 0.0000 0.0000 0.5000
In: 0.0651 0.5000 0.8151
In: 0.2500 0.5000 0.4327
In: 0.4349 0.5000 0.8151
In: 0.5000 0.0000 0.5000
In: 0.5651 0.5000 0.1849
In: 0.7500 0.5000 0.5673
In: 0.9349 0.5000 0.1849
Ir: 0.2500 0.0000 0.6952
Ir: 0.7500 0.0000 0.3048

Principal peaks in the range 2θ = 10–90°, most intense first:
- 37.7 deg, 2.389 Å, intensity 100
- 15.4 deg, 5.747 Å, intensity 84
- 39.1 deg, 2.306 Å, intensity 78
- 33.1 deg, 2.707 Å, intensity 75
- 31.4 deg, 2.848 Å, intensity 60
- 11.7 deg, 7.594 Å, intensity 54
- 41.1 deg, 2.195 Å, intensity 51
- 42.1 deg, 2.148 Å, intensity 47
- 60.3 deg, 1.535 Å, intensity 32
- 37.0 deg, 2.433 Å, intensity 22

---

Computed X-ray powder pattern of Ca2Ru2O7 for Cu Kα, 1.54184 Å, from DFT lattice parameters and positions (GGA-PBE).

Structure:
a = 7.2818 Å, b = 7.2818 Å, c = 7.2818 Å
α = 60.00°, β = 60.00°, γ = 60.00°
Positions (direct):
Ca: 0.0000 0.0000 0.0000
Ca: 0.0000 0.0000 0.5000
Ca: 0.0000 0.5000 0.0000
Ca: 0.5000 0.0000 0.0000
Ru: 0.0000 0.5000 0.5000
Ru: 0.5000 0.0000 0.5000
Ru: 0.5000 0.5000 0.0000
Ru: 0.5000 0.5000 0.5000
O: 0.1250 0.1250 0.1250
O: 0.1817 0.1817 0.5683
O: 0.1817 0.5683 0.1817
O: 0.1817 0.5683 0.5683
O: 0.4317 0.4317 0.8183
O: 0.4317 0.8183 0.4317
O: 0.4317 0.8183 0.8183
O: 0.5683 0.1817 0.1817
O: 0.5683 0.1817 0.5683
O: 0.5683 0.5683 0.1817
O: 0.8183 0.4317 0.4317
O: 0.8183 0.4317 0.8183
O: 0.8183 0.8183 0.4317
O: 0.8750 0.8750 0.8750

Principal peaks in the range 2θ = 10–90°, most intense first:
- 30.1 deg, 2.973 Å, intensity 100
- 50.1 deg, 1.820 Å, intensity 48
- 59.5 deg, 1.552 Å, intensity 40
- 14.9 deg, 5.946 Å, intensity 35
- 34.8 deg, 2.575 Å, intensity 24
- 28.8 deg, 3.105 Å, intensity 24
- 81.5 deg, 1.181 Å, intensity 15
- 84.1 deg, 1.151 Å, intensity 13
- 62.5 deg, 1.486 Å, intensity 9
- 45.8 deg, 1.982 Å, intensity 8

---

Computed X-ray powder pattern of SmBr for Cu Kα, 1.54184 Å, from DFT lattice parameters and positions (GGA-PBE).

Structure:
a = 3.6810 Å, b = 3.6810 Å, c = 4.5818 Å
α = 90.00°, β = 90.00°, γ = 120.00°
Positions (direct):
Sm: 0.0000 0.0000 0.0000
Br: 0.3333 0.6667 0.5000

Principal peaks in the range 2θ = 10–90°, most intense first:
- 34.3 deg, 2.617 Å, intensity 100
- 28.0 deg, 3.188 Å, intensity 35
- 49.5 deg, 1.841 Å, intensity 23
- 65.0 deg, 1.435 Å, intensity 20
- 61.6 deg, 1.505 Å, intensity 18
- 82.8 deg, 1.165 Å, intensity 16
- 49.0 deg, 1.860 Å, intensity 15
- 39.3 deg, 2.291 Å, intensity 15
- 68.1 deg, 1.377 Å, intensity 13
- 19.4 deg, 4.582 Å, intensity 7